1.
Starting from a structure optimized by DFT (GGA-PBE), the powder diffraction line list of Ce2CoGeC was calculated for CuKα.
Neutral-atom scattering factors, no anomalous dispersion.

Principal peaks in the range 10° ≤ 2θ ≤ 90°, in order of falling intensity:
two_theta  d_spacing  I (rel.)
31.96  2.800  100
27.48  3.246  53
33.38  2.685  47
30.00  2.979  46
29.10  3.069  31
46.95  1.935  31
40.94  2.204  29
35.72  2.514  27

Cell and atoms:
```
Ce2CoGeC
1.0
6.617 0.000 0.000
0.000 3.870 0.000
-3.007 0.000 7.467
Ce Co Ge C
4 2 2 2
Direct
0.181 0.250 0.413
0.240 0.750 0.017
0.760 0.250 0.983
0.819 0.750 0.587
0.215 0.250 0.722
0.785 0.750 0.278
0.437 0.750 0.722
0.563 0.250 0.278
0.011 0.750 0.190
0.989 0.250 0.810
```

2.
Starting from a structure optimized by DFT (GGA-PBE), the powder diffraction line list of Fe3NiMo6N2 was calculated for CuKα.
Neutral-atom scattering factors, no anomalous dispersion.

Principal peaks in the range 10° ≤ 2θ ≤ 90°, in order of falling intensity:
two_theta  d_spacing  I (rel.)
42.68  2.118  100
40.48  2.229  88
40.26  2.240  88
40.33  2.236  45
40.55  2.225  43
44.90  2.019  33
42.79  2.113  25
42.55  2.125  25

Cell and atoms:
```
Fe3NiMo6N2
1.0
6.693 0.000 0.000
0.000 6.697 0.000
-0.059 0.000 6.709
Fe Ni Mo N
6 2 12 4
Direct
0.071 0.000 0.323
0.180 0.251 0.569
0.427 0.143 0.817
0.573 0.643 0.183
0.820 0.751 0.431
0.929 0.500 0.677
0.316 0.888 0.066
0.684 0.388 0.934
0.048 0.193 0.954
0.122 0.864 0.702
0.204 0.620 0.372
0.299 0.522 0.875
0.376 0.271 0.200
0.452 0.945 0.453
0.548 0.445 0.547
0.624 0.771 0.800
0.701 0.022 0.125
0.796 0.120 0.628
0.878 0.364 0.298
0.952 0.693 0.046
0.125 0.445 0.124
0.374 0.695 0.626
0.626 0.195 0.374
0.875 0.945 0.876
```

3.
Starting from a structure optimized by DFT (GGA-PBE), the powder diffraction line list of SrMgZn2Cd was calculated for CuKα.
Neutral-atom scattering factors, no anomalous dispersion.

Principal peaks in the range 10° ≤ 2θ ≤ 90°, in order of falling intensity:
two_theta  d_spacing  I (rel.)
32.08  2.790  100
29.75  3.003  60
28.55  3.127  43
41.73  2.164  42
40.41  2.232  37
41.22  2.190  35
41.05  2.199  34
29.49  3.029  33

Cell and atoms:
```
SrMgZn2Cd
1.0
4.380 0.000 0.000
0.000 4.464 0.000
0.000 0.000 12.373
Sr Mg Zn Cd
2 2 4 2
Direct
0.000 0.000 0.000
0.500 0.500 0.500
0.000 0.500 0.762
0.500 0.000 0.262
0.000 0.000 0.396
0.000 0.500 0.273
0.500 0.000 0.773
0.500 0.500 0.896
0.000 0.000 0.618
0.500 0.500 0.118
```

4.
Starting from a structure optimized by DFT (GGA-PBE), the powder diffraction line list of Ce3Ni7Rh2 was calculated for CuKα.
Neutral-atom scattering factors, no anomalous dispersion.

Principal peaks in the range 10° ≤ 2θ ≤ 90°, in order of falling intensity:
two_theta  d_spacing  I (rel.)
42.00  2.151  100
35.99  2.495  42
32.16  2.783  23
68.82  1.364  18
35.01  2.563  17
45.60  1.989  16
76.33  1.248  16
44.40  2.040  15

Cell and atoms:
```
Ce3Ni7Rh2
1.0
2.495 1.441 8.487
-2.495 1.441 8.487
0.000 -2.881 8.487
Ce Ni Rh
3 7 2
Direct
0.000 0.000 0.000
0.139 0.139 0.139
0.861 0.861 0.861
0.086 0.586 0.586
0.414 0.414 0.914
0.414 0.914 0.414
0.500 0.500 0.500
0.586 0.086 0.586
0.586 0.586 0.086
0.914 0.414 0.414
0.332 0.332 0.332
0.668 0.668 0.668
```

5.
Starting from a structure optimized by DFT (GGA-PBE), the powder diffraction line list of La4NdIn2 was calculated for CuKα.
Neutral-atom scattering factors, no anomalous dispersion.

Principal peaks in the range 10° ≤ 2θ ≤ 90°, in order of falling intensity:
two_theta  d_spacing  I (rel.)
29.55  3.023  100
32.29  2.772  68
31.54  2.837  51
34.91  2.570  30
57.60  1.600  27
30.83  2.900  23
46.33  1.960  21
45.24  2.004  19

Cell and atoms:
```
La4NdIn2
1.0
5.546 0.000 0.000
0.000 12.912 0.000
-0.007 0.000 6.603
La Nd In
8 2 4
Direct
0.004 0.173 0.353
0.004 0.327 0.853
0.495 0.652 0.492
0.495 0.848 0.992
0.505 0.152 0.008
0.505 0.348 0.508
0.996 0.673 0.147
0.996 0.827 0.647
0.500 0.000 0.500
0.500 0.500 0.000
0.004 0.063 0.808
0.004 0.437 0.308
0.996 0.563 0.692
0.996 0.937 0.192
```